Diffraction record for Ce8InRh6. The powder X-ray diffraction pattern is computed, not measured: it uses a structure optimized by DFT (PBE) and copper Kα.

Most intense lines, 2θ = 15–90°, by intensity:
two_theta  I/Imax  index
35.1  100.0  1 2 1
30.4  58.9  2 0 1
36.2  50.8  1 3 0
29.9  50.2  3 0 0
42.0  28.6  4 -2 1
78.8  26.1  5 3 1
28.7  23.2  1 1 1
50.2  21.8  5 -3 1
60.4  19.2  3 1 2
43.2  19.1  4 -3 1
46.7  18.5  0 0 2
46.5  14.1  4 1 0

Crystal structure
a b c (Å): 10.3352 10.3352 3.8937
angles (deg): 90.00 90.00 120.00
Space group P-3 (No. 147)
Unique sites:
Ce: 0.0522 0.3192 0.2236 (multiplicity 6)
Ce: 0.3333 0.6667 0.7401 (multiplicity 2)
In: 0.0000 0.0000 0.5000 (multiplicity 1)
Rh: 0.0945 0.6210 0.2602 (multiplicity 6)